Diffraction record for LiGaCl4. The X-ray diffraction stick pattern is calculated, not measured: it uses a DFT-relaxed cell (PBE, the Materials Project) and a wavelength of 1.5418 Å.
Lines closer than 0.1° are merged.

The 8 most intense peaks (2θ = 15–90°), sorted by position:
two_theta	intensity	(hkl)
17.99	100	1 1 0
18.66	60	0 1 2
18.79	38	1 0 2
25.98	37	0 2 0
26.74	50	1 1 -3
29.15	30	2 0 2
30.05	30	0 1 4
46.28	44	1 3 -3

Structural model:
```
data_LiGaCl4
_cell_length_a 7.0905
_cell_length_b 6.8606
_cell_length_c 13.2108
_cell_angle_alpha 90.00
_cell_angle_beta 92.60
_cell_angle_gamma 90.00
_symmetry_space_group_name_H-M 'P 1 21/c 1'
_symmetry_Int_Tables_number 14
loop_
_symmetry_equiv_pos_as_xyz
'x,y,z'
'-x,-y,-z'
'-x,y+1/2,-z+1/2'
'x,-y+1/2,z+1/2'
loop_
_atom_site_label
_atom_site_type_symbol
_atom_site_fract_x
_atom_site_fract_y
_atom_site_fract_z
Li1 Li 0.1503 0.0212 0.3680
Ga1 Ga 0.2971 0.1745 0.6017
Cl1 Cl 0.0729 0.1884 0.1903
Cl2 Cl 0.1833 0.6234 0.0717
Cl3 Cl 0.3072 0.1922 0.9510
Cl4 Cl 0.4312 0.6781 0.8132
```


Diffraction record for BaBrCl. The X-ray diffraction stick pattern is calculated, not measured: it uses a DFT-relaxed cell (PBE, the Materials Project) and a wavelength of 1.5418 Å.
Lines closer than 0.1° are merged.

The 8 most intense peaks (2θ = 15–90°), sorted by position:
two_theta	intensity	(hkl)
21.31	49	1 0 2
23.02	43	1 1 1
28.12	48	1 1 2
29.67	100	2 1 1
35.11	29	1 1 3
36.74	34	0 2 0
37.38	48	3 0 2
53.41	34	3 2 2

Structural model:
```
data_BaBrCl
_cell_length_a 8.3226
_cell_length_b 4.8928
_cell_length_c 9.6378
_cell_angle_alpha 90.00
_cell_angle_beta 90.00
_cell_angle_gamma 90.00
_symmetry_space_group_name_H-M 'P n m a'
_symmetry_Int_Tables_number 62
loop_
_symmetry_equiv_pos_as_xyz
'x,y,z'
'-x,-y,-z'
'-x+1/2,-y,z+1/2'
'x+1/2,y,-z+1/2'
'x+1/2,-y+1/2,-z+1/2'
'-x+1/2,y+1/2,z+1/2'
'-x,y+1/2,-z'
'x,-y+1/2,z'
loop_
_atom_site_label
_atom_site_type_symbol
_atom_site_fract_x
_atom_site_fract_y
_atom_site_fract_z
Ba1 Ba 0.2355 0.2500 0.1204
Br1 Br 0.0293 0.7500 0.3314
Cl1 Cl 0.1426 0.7500 0.9314
```


Diffraction record for Na2CaHfP2SO12. The X-ray diffraction stick pattern is calculated, not measured: it uses a DFT-relaxed cell (PBE, the Materials Project) and a wavelength of 1.5418 Å.
Lines closer than 0.1° are merged.

The 8 most intense peaks (2θ = 15–90°), sorted by position:
two_theta	intensity	(hkl)
19.11	75	1 1 1
19.43	100	3 1 -1
22.70	49	0 2 1
27.30	45	2 2 -2
30.25	47	3 1 -3
30.48	94	3 1 1
33.87	46	6 0 -2
34.04	44	3 3 -1

Structural model:
```
data_Na2CaHfP2SO12
_cell_length_a 15.8725
_cell_length_b 9.1118
_cell_length_c 9.3722
_cell_angle_alpha 90.00
_cell_angle_beta 124.94
_cell_angle_gamma 90.00
_symmetry_space_group_name_H-M 'C 1 c 1'
_symmetry_Int_Tables_number 9
loop_
_symmetry_equiv_pos_as_xyz
'x,y,z'
'x,-y,z+1/2'
'x+1/2,y+1/2,z'
'x+1/2,-y+1/2,z+1/2'
loop_
_atom_site_label
_atom_site_type_symbol
_atom_site_fract_x
_atom_site_fract_y
_atom_site_fract_z
Na1 Na 0.0000 0.0729 0.0000
Na2 Na 0.4198 0.2391 0.7548
Ca1 Ca 0.2905 0.2504 0.3260
Hf1 Hf 0.0944 0.2457 0.7180
P1 P 0.1878 0.0470 0.5229
P2 P 0.3465 0.3912 0.0330
S1 S 0.0455 0.4060 0.0183
O1 O 0.0425 0.4298 0.5309
O2 O 0.0472 0.3720 0.8623
O3 O 0.1048 0.1364 0.5349
O4 O 0.1180 0.0559 0.8542
O5 O 0.1351 0.3454 0.1752
O6 O 0.2408 0.3256 0.8721
O7 O 0.2472 0.0490 0.1805
O8 O 0.2544 0.1532 0.5057
O9 O 0.3561 0.3671 0.2013
O10 O 0.3580 0.4452 0.5101
O11 O 0.4371 0.3093 0.0391
O12 O 0.4547 0.1595 0.4992
```


Diffraction record for K4TiO4. The X-ray diffraction stick pattern is calculated, not measured: it uses a DFT-relaxed cell (PBE, the Materials Project) and a wavelength of 1.5418 Å.
Lines closer than 0.1° are merged.

The 8 most intense peaks (2θ = 15–90°), sorted by position:
two_theta	intensity	(hkl)
29.17	89	0 1 3
29.55	94	1 1 -2
30.04	76	0 2 1
30.17	83	2 0 0
33.20	100	2 2 1
33.91	99	1 -1 2
36.26	79	-1 1 3
36.44	35	2 1 3

Structural model:
```
data_K4TiO4
_cell_length_a 6.4548
_cell_length_b 6.4774
_cell_length_c 9.6908
_cell_angle_alpha 71.96
_cell_angle_beta 79.93
_cell_angle_gamma 66.85
_symmetry_space_group_name_H-M 'P -1'
_symmetry_Int_Tables_number 2
loop_
_symmetry_equiv_pos_as_xyz
'x,y,z'
'-x,-y,-z'
loop_
_atom_site_label
_atom_site_type_symbol
_atom_site_fract_x
_atom_site_fract_y
_atom_site_fract_z
K1 K 0.2222 0.4622 0.1175
K2 K 0.2440 0.2647 0.5270
K3 K 0.2545 0.9101 0.3360
K4 K 0.2737 0.0127 0.9382
Ti1 Ti 0.2756 0.6553 0.7479
O1 O 0.0469 0.7894 0.8729
O2 O 0.1371 0.6601 0.5946
O3 O 0.4494 0.3578 0.8473
O4 O 0.4542 0.8350 0.6926
```


Diffraction record for Ti2AgBiO6. The X-ray diffraction stick pattern is calculated, not measured: it uses a DFT-relaxed cell (PBE, the Materials Project) and a wavelength of 1.5418 Å.
Lines closer than 0.1° are merged.

The 8 most intense peaks (2θ = 15–90°), sorted by position:
two_theta	intensity	(hkl)
19.72	21	1 0 1
22.99	31	1 1 0
32.34	100	1 1 2
32.73	55	2 0 0
40.05	38	2 0 2
46.97	29	2 2 0
57.43	22	2 0 4
58.18	42	3 1 2

Structural model:
```
data_Ti2AgBiO6
_cell_length_a 5.4715
_cell_length_b 5.4715
_cell_length_c 7.9247
_cell_angle_alpha 90.00
_cell_angle_beta 90.00
_cell_angle_gamma 90.00
_symmetry_space_group_name_H-M 'I -4 2 m'
_symmetry_Int_Tables_number 121
_symmetry_space_group_name_Hall 'I -4 2'
loop_
_atom_site_label
_atom_site_type_symbol
_atom_site_fract_x
_atom_site_fract_y
_atom_site_fract_z
Ti1 Ti 0.0000 0.5000 0.2500
Ag1 Ag 0.0000 0.0000 0.0000
Bi1 Bi 0.0000 0.0000 0.5000
O1 O 0.0000 0.5000 0.0000
O2 O 0.1941 0.1941 0.7385
```


Diffraction record for TbAlNi4. The X-ray diffraction stick pattern is calculated, not measured: it uses a DFT-relaxed cell (PBE, the Materials Project) and a wavelength of 1.5418 Å.
Lines closer than 0.1° are merged.

The 8 most intense peaks (2θ = 15–90°), sorted by position:
two_theta	intensity	(hkl)
30.97	79	1 0 1
35.62	29	1 1 0
41.36	53	2 0 0
42.88	100	1 1 1
47.21	25	0 0 2
61.10	23	2 1 1
64.54	27	2 0 2
68.98	23	3 0 1

Structural model:
```
data_TbAlNi4
_cell_length_a 5.0416
_cell_length_b 5.0416
_cell_length_c 3.8501
_cell_angle_alpha 90.00
_cell_angle_beta 90.00
_cell_angle_gamma 120.00
_symmetry_space_group_name_H-M 'P -6 m 2'
_symmetry_Int_Tables_number 187
_symmetry_space_group_name_Hall 'P -6 2'
loop_
_atom_site_label
_atom_site_type_symbol
_atom_site_fract_x
_atom_site_fract_y
_atom_site_fract_z
Tb1 Tb 0.0000 0.0000 0.0000
Al1 Al 0.3333 0.6667 0.0000
Ni1 Ni 0.5020 0.0040 0.5000
Ni2 Ni 0.6667 0.3333 0.0000
```